No. 1
Structure and computed powder diffraction line list of Ta4Mn5 (a cell relaxed with PBE; Cu Kα, 1.54184 Å).
Neutral-atom scattering factors, no anomalous dispersion.

The 10 most intense peaks (2θ from 15° to 90°), in order of rising 2θ:
| 2θ (°) | d (Å) | I_rel |
| --- | --- | --- |
| 27.64 | 3.227 | 231 |
| 36.28 | 2.476 | 235 |
| 41.49 | 2.177 | 1000 |
| 41.99 | 2.151 | 459 |
| 51.02 | 1.790 | 75 |
| 59.34 | 1.557 | 90 |
| 60.89 | 1.521 | 135 |
| 62.37 | 1.489 | 144 |
| 75.33 | 1.262 | 158 |
| 76.38 | 1.247 | 260 |

```
9
Lattice="-4.5640 4.5640 1.5575 4.5640 -4.5640 1.5575 4.5640 4.5640 -1.5575" Properties=species:S:1:pos:R:3 pbc="T T T"
Ta 2.8619 0.0000 0.0000
Ta 6.2661 0.0000 0.0000
Ta 0.0000 2.8619 0.0000
Ta 0.0000 6.2661 0.0000
Mn 0.0000 0.0000 0.0000
Mn 3.0419 3.0419 0.0000
Mn 1.5221 -1.5221 1.5575
Mn -1.5221 1.5221 1.5575
Mn 1.5221 1.5221 1.5575
```

No. 2
Structure and computed powder diffraction line list of TaMn2Te6 (a cell relaxed with PBE; Cu Kα, 1.54184 Å).
Neutral-atom scattering factors, no anomalous dispersion.

The 10 most intense peaks (2θ from 15° to 90°), in order of rising 2θ:
| 2θ (°) | d (Å) | I_rel |
| --- | --- | --- |
| 18.83 | 4.714 | 792 |
| 20.25 | 4.386 | 369 |
| 27.04 | 3.298 | 597 |
| 28.85 | 3.095 | 555 |
| 32.51 | 2.754 | 456 |
| 34.79 | 2.579 | 968 |
| 35.86 | 2.504 | 1000 |
| 40.24 | 2.241 | 778 |
| 42.72 | 2.117 | 338 |
| 48.36 | 1.882 | 387 |

```
9
Lattice="6.8730 -2.5793 0.0000 6.8730 2.5793 0.0000 -4.7395 0.0000 7.4646" Properties=species:S:1:pos:R:3 pbc="T T T"
Ta 0.0000 0.0000 0.0000
Mn -0.3540 0.0000 4.4167
Mn 9.3606 0.0000 3.0480
Te -2.9709 0.0000 5.3092
Te 1.7269 0.0000 2.5425
Te 0.6496 0.0000 6.9183
Te 8.3570 0.0000 0.5464
Te 7.2797 0.0000 4.9221
Te 11.9776 0.0000 2.1555
```

No. 3
Structure and computed powder diffraction line list of Ta2TiMn2 (a cell relaxed with PBE; Cu Kα, 1.54184 Å).
Neutral-atom scattering factors, no anomalous dispersion.

The 10 most intense peaks (2θ from 15° to 90°), in order of rising 2θ:
| 2θ (°) | d (Å) | I_rel |
| --- | --- | --- |
| 20.28 | 4.380 | 163 |
| 30.28 | 2.951 | 259 |
| 30.61 | 2.921 | 315 |
| 32.00 | 2.797 | 230 |
| 33.91 | 2.644 | 408 |
| 39.83 | 2.263 | 442 |
| 43.59 | 2.076 | 1000 |
| 46.09 | 1.969 | 388 |
| 74.95 | 1.267 | 179 |
| 79.44 | 1.206 | 190 |

```
10
Lattice="2.9650 0.0000 0.0000 0.0000 17.5181 0.0000 0.0000 0.0000 2.9513" Properties=species:S:1:pos:R:3 pbc="T T T"
Ta 0.0000 3.0368 0.0000
Ta 0.0000 14.4813 0.0000
Ta 1.4825 5.7223 0.0000
Ta 1.4825 11.7958 0.0000
Ti 0.0000 0.0000 0.0000
Ti 1.4825 8.7591 0.0000
Mn 0.0000 7.2407 1.4756
Mn 0.0000 10.2774 1.4756
Mn 1.4825 1.5183 1.4756
Mn 1.4825 15.9998 1.4756
```

No. 4
Structure and computed powder diffraction line list of TaMn2W2 (a cell relaxed with PBE; Cu Kα, 1.54184 Å).
Neutral-atom scattering factors, no anomalous dispersion.

The 10 most intense peaks (2θ from 15° to 90°), in order of rising 2θ:
| 2θ (°) | d (Å) | I_rel |
| --- | --- | --- |
| 28.00 | 3.187 | 417 |
| 35.64 | 2.519 | 184 |
| 35.83 | 2.506 | 341 |
| 40.01 | 2.253 | 842 |
| 40.18 | 2.244 | 426 |
| 42.22 | 2.140 | 1000 |
| 62.63 | 1.483 | 163 |
| 64.13 | 1.452 | 236 |
| 78.68 | 1.216 | 233 |
| 79.70 | 1.203 | 204 |

```
10
Lattice="7.1260 0.0000 0.0000 0.0000 7.1260 0.0000 0.0000 0.0000 2.8892" Properties=species:S:1:pos:R:3 pbc="T T T"
Ta 0.0000 0.0000 0.0000
Ta 3.5630 3.5630 0.0000
Mn 0.9901 2.5729 0.0000
Mn 2.5729 6.1359 0.0000
Mn 4.5531 0.9901 0.0000
Mn 6.1359 4.5531 0.0000
W 1.1353 4.6984 1.4446
W 2.4277 1.1353 1.4446
W 4.6984 5.9907 1.4446
W 5.9907 2.4277 1.4446
```

No. 5
Structure and computed powder diffraction line list of TaMnZn (a cell relaxed with PBE; Cu Kα, 1.54184 Å).
Neutral-atom scattering factors, no anomalous dispersion.

The 10 most intense peaks (2θ from 15° to 90°), in order of rising 2θ:
| 2θ (°) | d (Å) | I_rel |
| --- | --- | --- |
| 36.82 | 2.441 | 723 |
| 38.34 | 2.348 | 428 |
| 40.49 | 2.228 | 480 |
| 43.20 | 2.094 | 1000 |
| 43.95 | 2.060 | 247 |
| 44.61 | 2.031 | 197 |
| 68.81 | 1.364 | 183 |
| 70.73 | 1.332 | 227 |
| 74.51 | 1.273 | 153 |
| 78.34 | 1.221 | 209 |

```
18
Lattice="2.4410 1.4093 12.2317 -2.4410 1.4093 12.2317 0.0000 -2.8187 12.2317" Properties=species:S:1:pos:R:3 pbc="T T T"
Ta 0.0000 0.0000 1.6686
Ta 0.0000 0.0000 6.6322
Ta 0.0000 0.0000 9.5784
Ta 0.0000 0.0000 27.1167
Ta 0.0000 0.0000 30.0629
Ta 0.0000 0.0000 35.0265
Mn -1.2788 -0.7383 20.3554
Mn 0.0000 -1.4766 16.3397
Mn -1.2788 0.7383 16.3397
Mn 1.2788 -0.7383 20.3554
Mn 0.0000 1.4766 20.3554
Mn 1.2788 0.7383 16.3397
Zn -1.2205 -0.7047 12.2317
Zn 0.0000 0.0000 14.3301
Zn -1.2205 0.7047 24.4634
Zn 0.0000 1.4093 12.2317
Zn 0.0000 0.0000 18.3475
Zn 0.0000 0.0000 22.3650
```

No. 6
Structure and computed powder diffraction line list of ZrTaMn (a cell relaxed with PBE; Cu Kα, 1.54184 Å).
Neutral-atom scattering factors, no anomalous dispersion.

The 10 most intense peaks (2θ from 15° to 90°), in order of rising 2θ:
| 2θ (°) | d (Å) | I_rel |
| --- | --- | --- |
| 21.00 | 4.230 | 443 |
| 24.90 | 3.576 | 221 |
| 34.19 | 2.623 | 265 |
| 38.72 | 2.326 | 1000 |
| 40.04 | 2.252 | 204 |
| 41.09 | 2.197 | 346 |
| 41.62 | 2.170 | 360 |
| 42.76 | 2.115 | 368 |
| 64.24 | 1.450 | 226 |
| 72.43 | 1.305 | 264 |

```
12
Lattice="5.2454 0.0000 0.0000 0.0000 5.5683 0.0000 0.0000 0.0000 7.1510" Properties=species:S:1:pos:R:3 pbc="T T T"
Zr 0.0000 1.3921 0.8305
Zr 0.0000 4.1763 6.3205
Zr 2.6227 1.3921 2.7450
Zr 2.6227 4.1763 4.4060
Ta 0.0000 0.0000 3.5755
Ta 0.0000 2.7842 3.5755
Ta 2.6227 0.0000 0.0000
Ta 2.6227 2.7842 0.0000
Mn 1.3114 1.3921 5.3633
Mn 1.3114 4.1763 1.7878
Mn 3.9341 1.3921 5.3633
Mn 3.9341 4.1763 1.7878
```